Structure and simulated PXRD pattern of LiCaGdNi (a DFT-relaxed cell (PBE, Alexandria); Cu Kα).
Kinematic intensities with the Lorentz-polarization factor, no thermal factor.

Main lines, sorted by position (10 to 90 degrees two-theta):
2theta, I (rel.)
21.74, 53.3
25.16, 28.3
35.87, 100.0
42.34, 29.1
51.64, 17.2
56.67, 12.5
58.28, 11.0
64.47, 34.4
68.91, 9.3
76.04, 10.5
80.20, 9.3
87.04, 14.9

Structure:
```
data_LiCaGdNi
_chemical_formula_sum 'Li4 Ca4 Gd4 Ni4'
_cell_length_a 7.080
_cell_length_b 7.080
_cell_length_c 7.080
_cell_angle_alpha 90.00
_cell_angle_beta 90.00
_cell_angle_gamma 90.00
_symmetry_space_group_name_H-M 'F -4 3 m'
_symmetry_Int_Tables_number 216
_symmetry_space_group_name_Hall 'F -4 2 3'
loop_
_atom_site_label
_atom_site_type_symbol
_atom_site_fract_x
_atom_site_fract_y
_atom_site_fract_z
Li1 Li 0.000 0.000 0.000
Ca1 Ca 0.250 0.250 0.250
Gd1 Gd 0.250 0.250 0.750
Ni1 Ni 0.000 0.000 0.500
```